# 1
Calculated powder X-ray diffraction pattern of Cs3LiIrO4 for λ = 1.5418 Å (Cu Kα), from a crystal structure in OQMD, relaxed with PBE.
No peak broadening, texture or thermal motion is included.

Cell and atoms:
Unit cell a=7.6644 b=7.6644 c=6.3264 alpha=101.42 beta=101.42 gamma=86.67
Positions (direct):
Cs1 0.0953 0.9047 0.7500
Cs2 0.2534 0.4311 0.5196
Cs3 0.4311 0.2534 0.0196
Cs4 0.5689 0.7466 0.9804
Cs5 0.7466 0.5689 0.4804
Cs6 0.9047 0.0953 0.2500
Li1 0.2302 0.7698 0.2500
Li2 0.7698 0.2302 0.7500
Ir1 0.0000 0.5000 0.0000
Ir2 0.5000 0.0000 0.5000
O1 0.0166 0.2983 0.7653
O2 0.2273 0.5880 0.9830
O3 0.2983 0.0166 0.2653
O4 0.4120 0.7727 0.5170
O5 0.5880 0.2273 0.4830
O6 0.7017 0.9834 0.7347
O7 0.7727 0.4120 0.0170
O8 0.9834 0.7017 0.2347

Top 10 peaks for 2θ from 10° to 80°, low angle first:
2theta  d/Å  I (rel.)
20.46  4.342  177
26.32  3.386  363
26.62  3.348  247
29.43  3.035  1000
29.52  3.026  424
30.25  2.954  303
31.68  2.825  171
36.93  2.434  196
41.54  2.174  169
52.16  1.753  178

=====

# 2
Calculated powder X-ray diffraction pattern of Nd2P2IrOsS2 for λ = 1.5418 Å (Cu Kα), from a crystal structure in OQMD, relaxed with PBE.
No peak broadening, texture or thermal motion is included.

Cell and atoms:
Unit cell a=4.1577 b=4.1577 c=9.0800 alpha=90.00 beta=90.00 gamma=90.00
Positions (direct):
Nd1 0.0000 0.5000 0.2010
Nd2 0.5000 0.0000 0.7990
P1 0.0000 0.5000 0.6333
P2 0.5000 0.0000 0.3667
Ir1 0.0000 0.0000 0.5000
Os1 0.5000 0.5000 0.5000
S1 0.0000 0.0000 0.0000
S2 0.5000 0.5000 0.0000

Top 10 peaks for 2θ from 10° to 80°, low angle first:
2theta  d/Å  I (rel.)
23.53  3.780  341
29.12  3.066  205
29.51  3.027  221
32.00  2.797  378
36.41  2.468  1000
43.53  2.079  404
50.82  1.797  133
53.47  1.714  178
59.86  1.545  205
75.24  1.263  241

=====

# 3
Calculated powder X-ray diffraction pattern of Pr2Ge2O7 for λ = 1.5418 Å (Cu Kα), from a crystal structure in OQMD, relaxed with PBE.
No peak broadening, texture or thermal motion is included.

Cell and atoms:
Unit cell a=7.0199 b=7.0199 c=12.8010 alpha=90.00 beta=90.00 gamma=90.00
Positions (direct):
Pr1 0.1205 0.3462 0.1154
Pr2 0.1538 0.6205 0.3654
Pr3 0.3462 0.1205 0.8846
Pr4 0.3795 0.8462 0.1346
Pr5 0.6205 0.1538 0.6346
Pr6 0.6538 0.8795 0.3846
Pr7 0.8462 0.3795 0.8654
Pr8 0.8795 0.6538 0.6154
Ge1 0.0986 0.1582 0.6261
Ge2 0.1582 0.0986 0.3739
Ge3 0.3418 0.5986 0.8761
Ge4 0.4014 0.6582 0.6239
Ge5 0.5986 0.3418 0.1239
Ge6 0.6582 0.4014 0.3761
Ge7 0.8418 0.9014 0.8739
Ge8 0.9014 0.8418 0.1261
O1 0.0212 0.0736 0.8806
O2 0.0579 0.6617 0.1770
O3 0.0736 0.0212 0.1194
O4 0.1412 0.3039 0.2973
O5 0.1617 0.4421 0.9270
O6 0.1961 0.6412 0.5473
O7 0.2024 0.2024 0.5000
O8 0.2976 0.7024 0.7500
O9 0.3039 0.1412 0.7027
O10 0.3383 0.9421 0.3230
O11 0.3588 0.8039 0.9527
O12 0.4264 0.5212 0.1306
O13 0.4421 0.1617 0.0730
O14 0.4788 0.5736 0.3694
O15 0.5212 0.4264 0.8694
O16 0.5579 0.8383 0.5730
O17 0.5736 0.4788 0.6306
O18 0.6412 0.1961 0.4527
O19 0.6617 0.0579 0.8230
O20 0.6961 0.8588 0.2027
O21 0.7024 0.2976 0.2500
O22 0.7976 0.7976 0.0000
O23 0.8039 0.3588 0.0473
O24 0.8383 0.5579 0.4270
O25 0.8588 0.6961 0.7973
O26 0.9264 0.9788 0.6194
O27 0.9421 0.3383 0.6770
O28 0.9788 0.9264 0.3806

Top 10 peaks for 2θ from 10° to 80°, low angle first:
2theta  d/Å  I (rel.)
14.39  6.155  290
26.33  3.385  841
27.88  3.200  847
28.43  3.139  337
29.29  3.049  443
31.75  2.819  1000
33.05  2.711  405
47.22  1.925  453
51.81  1.765  356
60.13  1.539  249

=====

# 4
Calculated powder X-ray diffraction pattern of BaP4Ir8 for λ = 1.5418 Å (Cu Kα), from a crystal structure in OQMD, relaxed with PBE.
No peak broadening, texture or thermal motion is included.

Cell and atoms:
Unit cell a=7.6597 b=7.6597 c=7.6597 alpha=93.90 beta=93.90 gamma=149.76
Positions (direct):
Ba1 0.0000 0.0000 0.0000
P1 0.2362 0.5598 0.7960
P2 0.4402 0.2362 0.6765
P3 0.5598 0.7638 0.3235
P4 0.7638 0.4402 0.2040
Ir1 0.0141 0.6352 0.6493
Ir2 0.2521 0.3385 0.5906
Ir3 0.3385 0.7479 0.0865
Ir4 0.3648 0.0141 0.3789
Ir5 0.6352 0.9859 0.6211
Ir6 0.6615 0.2521 0.9135
Ir7 0.7479 0.6615 0.4094
Ir8 0.9859 0.3648 0.3507

Top 10 peaks for 2θ from 10° to 80°, low angle first:
2theta  d/Å  I (rel.)
11.97  7.395  597
26.96  3.307  209
34.13  2.627  1000
36.45  2.465  190
38.35  2.347  217
42.20  2.141  580
45.40  1.998  264
49.17  1.853  225
49.29  1.849  137
50.92  1.793  156

=====

# 5
Calculated powder X-ray diffraction pattern of GaCoW4C2 for λ = 1.5418 Å (Cu Kα), from a crystal structure in OQMD, relaxed with PBE.
No peak broadening, texture or thermal motion is included.

Cell and atoms:
Unit cell a=3.0555 b=3.0555 c=12.9122 alpha=90.00 beta=90.00 gamma=120.00
Positions (direct):
Ga1 0.0000 0.0000 0.0000
Co1 0.3333 0.6667 0.5000
W1 0.0000 0.0000 0.3509
W2 0.0000 0.0000 0.6491
W3 0.3333 0.6667 0.1679
W4 0.3333 0.6667 0.8321
C1 0.6667 0.3333 0.2581
C2 0.6667 0.3333 0.7419

Top 10 peaks for 2θ from 10° to 80°, low angle first:
2theta  d/Å  I (rel.)
13.72  6.456  140
33.88  2.646  248
34.60  2.592  139
40.00  2.254  1000
41.98  2.152  161
55.00  1.670  127
60.61  1.528  214
75.12  1.265  157
75.36  1.261  107
76.46  1.246  167

=====

# 6
Calculated powder X-ray diffraction pattern of LaZrNO for λ = 1.5418 Å (Cu Kα), from a crystal structure in OQMD, relaxed with PBE.
No peak broadening, texture or thermal motion is included.

Cell and atoms:
Unit cell a=4.2454 b=5.9176 c=5.5396 alpha=90.00 beta=90.00 gamma=90.00
Positions (direct):
La1 0.0000 0.2090 0.0000
La2 0.0000 0.7910 0.5000
Zr1 0.5000 0.2655 0.5224
Zr2 0.5000 0.7345 0.0224
N1 0.0000 0.2050 0.5189
N2 0.0000 0.7950 0.0189
O1 0.5000 0.4109 0.8722
O2 0.5000 0.5891 0.3722

Top 10 peaks for 2θ from 10° to 80°, low angle first:
2theta  d/Å  I (rel.)
30.21  2.959  283
30.53  2.928  1000
32.32  2.770  293
42.59  2.123  158
44.82  2.022  197
53.10  1.725  112
53.86  1.702  168
54.46  1.685  128
56.53  1.628  190
63.55  1.464  134

=====

# 7
Calculated powder X-ray diffraction pattern of Y5Ir3 for λ = 1.5418 Å (Cu Kα), from a crystal structure in OQMD, relaxed with PBE.
No peak broadening, texture or thermal motion is included.

Cell and atoms:
Unit cell a=10.9169 b=10.9169 c=6.3567 alpha=90.00 beta=90.00 gamma=90.00
Positions (direct):
Y1 0.0412 0.1623 0.1232
Y2 0.0412 0.3377 0.6232
Y3 0.1623 0.0412 0.6232
Y4 0.1623 0.4588 0.1232
Y5 0.2500 0.7500 0.0000
Y6 0.2500 0.7500 0.5000
Y7 0.3377 0.0412 0.1232
Y8 0.3377 0.4588 0.6232
Y9 0.4588 0.1623 0.6232
Y10 0.4588 0.3377 0.1232
Y11 0.5412 0.6623 0.8768
Y12 0.5412 0.8377 0.3768
Y13 0.6623 0.5412 0.3768
Y14 0.6623 0.9588 0.8768
Y15 0.7500 0.2500 0.0000
Y16 0.7500 0.2500 0.5000
Y17 0.8377 0.5412 0.8768
Y18 0.8377 0.9588 0.3768
Y19 0.9588 0.6623 0.3768
Y20 0.9588 0.8377 0.8768
Ir1 0.0964 0.5964 0.7500
Ir2 0.0964 0.9036 0.2500
Ir3 0.2500 0.2500 0.3775
Ir4 0.2500 0.2500 0.8775
Ir5 0.4036 0.5964 0.2500
Ir6 0.4036 0.9036 0.7500
Ir7 0.5964 0.0964 0.2500
Ir8 0.5964 0.4036 0.7500
Ir9 0.7500 0.7500 0.1225
Ir10 0.7500 0.7500 0.6225
Ir11 0.9036 0.0964 0.7500
Ir12 0.9036 0.4036 0.2500

Top 10 peaks for 2θ from 10° to 80°, low angle first:
2theta  d/Å  I (rel.)
22.98  3.870  676
25.81  3.452  174
29.44  3.034  211
32.76  2.734  276
33.65  2.664  443
36.80  2.443  1000
37.57  2.394  197
38.50  2.338  295
46.73  1.944  268
47.06  1.931  318

=====

# 8
Calculated powder X-ray diffraction pattern of Lu4TlPN2 for λ = 1.5418 Å (Cu Kα), from a crystal structure in OQMD, relaxed with PBE.
No peak broadening, texture or thermal motion is included.

Cell and atoms:
Unit cell a=3.5330 b=3.5330 c=13.6998 alpha=90.00 beta=90.00 gamma=120.00
Positions (direct):
Lu1 0.0000 0.0000 0.1274
Lu2 0.0000 0.0000 0.8726
Lu3 0.3333 0.6667 0.3169
Lu4 0.3333 0.6667 0.6831
Tl1 0.0000 0.0000 0.5000
P1 0.3333 0.6667 0.0000
N1 0.6667 0.3333 0.2297
N2 0.6667 0.3333 0.7703

Top 10 peaks for 2θ from 10° to 80°, low angle first:
2theta  d/Å  I (rel.)
29.19  3.060  343
32.04  2.794  294
32.68  2.740  187
35.31  2.542  1000
39.48  2.283  103
44.38  2.041  159
51.75  1.767  303
62.12  1.494  265
62.56  1.485  181
64.21  1.451  179